Structure and computed powder X-ray diffraction pattern of MgCr4O8 (a crystal structure in the Materials Project, relaxed with PBE+U; Cu Kα (weighted mean of Kα1 and Kα2)).

The 10 most intense peaks (2θ from 5° to 70°), low angle first:
24.05 deg, I = 97.4
25.07 deg, I = 94.0
29.02 deg, I = 54.2
30.36 deg, I = 54.9
31.05 deg, I = 100.0
31.41 deg, I = 95.0
42.23 deg, I = 51.0
51.48 deg, I = 63.0
53.69 deg, I = 72.5
54.21 deg, I = 53.4

Structural model:
abc: 4.776 5.014 5.595
angles: 85.40 87.52 88.62
Sites, in units of the cell vectors:
1 Mg 0.000 0.000 0.000
2 Cr 0.016 0.662 0.646
3 Cr 0.040 0.192 0.394
4 Cr 0.509 0.201 0.857
5 Cr 0.537 0.655 0.167
6 O 0.215 0.018 0.676
7 O 0.271 0.506 0.408
8 O 0.283 0.503 0.910
9 O 0.340 0.016 0.158
10 O 0.708 0.829 0.864
11 O 0.778 0.335 0.113
12 O 0.781 0.346 0.625
13 O 0.841 0.839 0.354

***

Structure and computed powder X-ray diffraction pattern of MgCr4O8 (a crystal structure in the Materials Project, relaxed with PBE+U; Cu Kα (weighted mean of Kα1 and Kα2)).

The 10 most intense peaks (2θ from 5° to 70°), low angle first:
12.43 deg, I = 100.0
12.63 deg, I = 85.3
16.50 deg, I = 89.6
18.92 deg, I = 95.4
29.63 deg, I = 46.6
33.36 deg, I = 68.6
35.70 deg, I = 61.8
35.84 deg, I = 50.1
36.78 deg, I = 46.9
50.35 deg, I = 43.3

Structural model:
abc: 7.231 7.231 9.380
angles: 129.56 129.56 23.77
Sites, in units of the cell vectors:
1 Mg 0.000 0.000 0.000
2 Cr 0.193 0.193 0.008
3 Cr 0.493 0.493 0.638
4 Cr 0.700 0.700 0.365
5 Cr 0.985 0.985 0.297
6 O 0.114 0.114 0.752
7 O 0.167 0.167 0.460
8 O 0.193 0.193 0.213
9 O 0.477 0.477 0.418
10 O 0.500 0.500 0.153
11 O 0.548 0.548 0.900
12 O 0.801 0.801 0.085
13 O 0.878 0.878 0.557

***

Structure and computed powder X-ray diffraction pattern of MgCrO2 (a crystal structure in the Materials Project, relaxed with PBE+U; Cu Kα (weighted mean of Kα1 and Kα2)).

The 10 most intense peaks (2θ from 5° to 70°), low angle first:
14.61 deg, I = 97.7
15.26 deg, I = 35.1
21.30 deg, I = 37.3
23.38 deg, I = 43.1
29.47 deg, I = 47.9
31.86 deg, I = 66.8
34.45 deg, I = 100.0
34.57 deg, I = 55.6
49.17 deg, I = 64.3
49.90 deg, I = 83.1

Structural model:
abc: 2.963 8.480 8.561
angles: 85.88 80.19 79.97
Sites, in units of the cell vectors:
1 Mg 0.078 0.220 0.122
2 Mg 0.346 0.575 0.226
3 Mg 0.654 0.425 0.774
4 Mg 0.922 0.780 0.878
5 Cr 0.210 0.894 0.183
6 Cr 0.373 0.310 0.442
7 Cr 0.627 0.690 0.558
8 Cr 0.790 0.106 0.817
9 O 0.087 0.602 0.731
10 O 0.167 0.282 0.893
11 O 0.186 0.723 0.405
12 O 0.375 0.930 0.822
13 O 0.625 0.070 0.178
14 O 0.814 0.277 0.595
15 O 0.833 0.718 0.107
16 O 0.913 0.398 0.269

***

Structure and computed powder X-ray diffraction pattern of MgCrO2 (a crystal structure in the Materials Project, relaxed with PBE+U; Cu Kα (weighted mean of Kα1 and Kα2)).

The 10 most intense peaks (2θ from 5° to 70°), low angle first:
12.81 deg, I = 100.0
18.57 deg, I = 40.1
22.39 deg, I = 54.2
32.21 deg, I = 62.0
33.92 deg, I = 73.9
39.09 deg, I = 31.1
44.92 deg, I = 37.3
50.18 deg, I = 38.2
50.62 deg, I = 35.5
57.15 deg, I = 40.4

Structural model:
abc: 8.114 8.114 9.625
angles: 119.41 119.41 20.95
Sites, in units of the cell vectors:
1 Mg 0.018 0.018 0.363
2 Mg 0.330 0.330 0.290
3 Mg 0.670 0.670 0.710
4 Mg 0.982 0.982 0.637
5 Cr 0.181 0.181 0.345
6 Cr 0.360 0.360 0.022
7 Cr 0.640 0.640 0.978
8 Cr 0.819 0.819 0.655
9 O 0.127 0.127 0.810
10 O 0.177 0.177 0.139
11 O 0.213 0.213 0.586
12 O 0.420 0.420 0.700
13 O 0.580 0.580 0.300
14 O 0.787 0.787 0.414
15 O 0.823 0.823 0.861
16 O 0.873 0.873 0.190

***

Structure and computed powder X-ray diffraction pattern of Mg2Cr3O8 (a crystal structure in the Materials Project, relaxed with PBE+U; Cu Kα (weighted mean of Kα1 and Kα2)).

The 10 most intense peaks (2θ from 5° to 70°), low angle first:
17.71 deg, I = 24.3
18.45 deg, I = 100.0
28.64 deg, I = 41.3
31.64 deg, I = 28.5
37.55 deg, I = 56.8
39.04 deg, I = 29.4
47.40 deg, I = 60.3
49.55 deg, I = 26.5
58.41 deg, I = 29.8
64.98 deg, I = 27.0

Structural model:
abc: 5.925 5.925 4.941
angles: 108.08 108.08 59.34
Sites, in units of the cell vectors:
1 Mg 0.226 0.226 0.159
2 Mg 0.774 0.774 0.841
3 Cr 0.239 0.761 0.500
4 Cr 0.500 0.500 0.000
5 Cr 0.761 0.239 0.500
6 O 0.105 0.105 0.423
7 O 0.160 0.613 0.091
8 O 0.387 0.840 0.909
9 O 0.391 0.391 0.576
10 O 0.609 0.609 0.424
11 O 0.613 0.160 0.091
12 O 0.840 0.387 0.909
13 O 0.895 0.895 0.577

***

Structure and computed powder X-ray diffraction pattern of MgCrO2 (a crystal structure in the Materials Project, relaxed with PBE+U; Cu Kα (weighted mean of Kα1 and Kα2)).

The 10 most intense peaks (2θ from 5° to 70°), low angle first:
27.92 deg, I = 32.4
34.97 deg, I = 16.4
35.12 deg, I = 33.8
35.74 deg, I = 59.1
35.93 deg, I = 16.9
43.39 deg, I = 100.0
56.76 deg, I = 28.0
58.08 deg, I = 20.9
62.61 deg, I = 14.2
63.47 deg, I = 13.1

Structural model:
abc: 7.609 2.968 7.839
angles: 90.00 98.81 90.00
Sites, in units of the cell vectors:
1 Mg 0.039 0.250 0.169
2 Mg 0.315 0.250 0.935
3 Mg 0.685 0.750 0.065
4 Mg 0.961 0.750 0.831
5 Cr 0.189 0.750 0.561
6 Cr 0.401 0.750 0.281
7 Cr 0.599 0.250 0.719
8 Cr 0.811 0.250 0.439
9 O 0.110 0.250 0.716
10 O 0.169 0.750 0.044
11 O 0.255 0.250 0.390
12 O 0.473 0.750 0.837
13 O 0.527 0.250 0.163
14 O 0.745 0.750 0.610
15 O 0.831 0.250 0.956
16 O 0.890 0.750 0.284

***

Structure and computed powder X-ray diffraction pattern of MgCr4O8 (a crystal structure in the Materials Project, relaxed with PBE+U; Cu Kα (weighted mean of Kα1 and Kα2)).

The 10 most intense peaks (2θ from 5° to 70°), low angle first:
20.79 deg, I = 100.0
26.76 deg, I = 41.1
28.42 deg, I = 26.7
31.54 deg, I = 42.9
32.35 deg, I = 41.3
34.66 deg, I = 18.9
35.16 deg, I = 34.6
38.03 deg, I = 24.6
48.24 deg, I = 24.1
53.58 deg, I = 16.7

Structural model:
abc: 5.064 5.204 5.919
angles: 86.12 75.43 84.67
Sites, in units of the cell vectors:
1 Mg 0.000 0.000 0.000
2 Cr 0.171 0.671 0.518
3 Cr 0.261 0.169 0.298
4 Cr 0.577 0.619 0.943
5 Cr 0.649 0.163 0.691
6 O 0.395 0.015 0.984
7 O 0.402 0.993 0.513
8 O 0.411 0.499 0.738
9 O 0.438 0.510 0.246
10 O 0.816 0.316 0.905
11 O 0.866 0.814 0.782
12 O 0.973 0.370 0.456
13 O 0.999 0.912 0.327

***

Structure and computed powder X-ray diffraction pattern of MgCr4O8 (a crystal structure in the Materials Project, relaxed with PBE+U; Cu Kα (weighted mean of Kα1 and Kα2)).

The 10 most intense peaks (2θ from 5° to 70°), low angle first:
16.60 deg, I = 100.0
20.62 deg, I = 87.5
31.34 deg, I = 45.8
31.50 deg, I = 41.4
38.77 deg, I = 24.7
41.63 deg, I = 22.8
41.74 deg, I = 21.9
42.63 deg, I = 17.8
45.20 deg, I = 24.6
46.69 deg, I = 23.4

Structural model:
abc: 2.995 4.936 10.681
angles: 90.07 90.18 107.52
Sites, in units of the cell vectors:
1 Mg 0.000 0.000 0.000
2 Cr 0.110 0.256 0.342
3 Cr 0.138 0.247 0.658
4 Cr 0.386 0.776 0.789
5 Cr 0.396 0.784 0.210
6 O 0.021 0.045 0.822
7 O 0.029 0.053 0.178
8 O 0.186 0.379 0.501
9 O 0.371 0.739 0.002
10 O 0.486 0.004 0.368
11 O 0.512 0.994 0.632
12 O 0.732 0.499 0.732
13 O 0.775 0.508 0.269

***

Structure and computed powder X-ray diffraction pattern of MgCr4O8 (a crystal structure in the Materials Project, relaxed with PBE+U; Cu Kα (weighted mean of Kα1 and Kα2)).

The 10 most intense peaks (2θ from 5° to 70°), low angle first:
18.27 deg, I = 73.7
18.38 deg, I = 69.0
35.40 deg, I = 37.4
37.02 deg, I = 15.9
43.08 deg, I = 100.0
56.93 deg, I = 11.3
57.08 deg, I = 10.6
62.40 deg, I = 27.3
62.71 deg, I = 24.6
65.64 deg, I = 12.5

Structural model:
abc: 5.926 5.926 5.926
angles: 60.30 60.30 60.30
Sites, in units of the cell vectors:
1 Mg 0.000 0.000 0.000
2 Cr 0.000 0.500 0.500
3 Cr 0.500 0.000 0.500
4 Cr 0.500 0.500 0.000
5 Cr 0.500 0.500 0.500
6 O 0.255 0.255 0.714
7 O 0.255 0.714 0.255
8 O 0.269 0.269 0.269
9 O 0.286 0.745 0.745
10 O 0.714 0.255 0.255
11 O 0.731 0.731 0.731
12 O 0.745 0.286 0.745
13 O 0.745 0.745 0.286

***

Structure and computed powder X-ray diffraction pattern of MgCr4O8 (a crystal structure in the Materials Project, relaxed with PBE+U; Cu Kα (weighted mean of Kα1 and Kα2)).

The 10 most intense peaks (2θ from 5° to 70°), low angle first:
18.70 deg, I = 73.6
21.24 deg, I = 37.0
30.49 deg, I = 60.2
35.29 deg, I = 100.0
35.53 deg, I = 51.7
36.01 deg, I = 26.0
43.26 deg, I = 49.9
57.67 deg, I = 29.3
62.20 deg, I = 44.5
63.46 deg, I = 38.0

Structural model:
abc: 5.866 5.866 5.863
angles: 118.81 118.81 61.17
Sites, in units of the cell vectors:
1 Mg 0.000 0.000 0.000
2 Cr 0.109 0.623 0.375
3 Cr 0.240 0.240 0.759
4 Cr 0.623 0.109 0.375
5 Cr 0.624 0.624 0.890
6 O 0.363 0.363 0.134
7 O 0.363 0.865 0.635
8 O 0.375 0.375 0.624
9 O 0.402 0.877 0.123
10 O 0.861 0.861 0.137
11 O 0.865 0.363 0.635
12 O 0.876 0.876 0.598
13 O 0.877 0.402 0.123

***

Structure and computed powder X-ray diffraction pattern of MgCrO4 (a crystal structure in the Materials Project, relaxed with PBE+U; Cu Kα (weighted mean of Kα1 and Kα2)).

The 10 most intense peaks (2θ from 5° to 70°), low angle first:
23.39 deg, I = 27.8
25.06 deg, I = 14.3
26.49 deg, I = 100.0
26.84 deg, I = 26.3
27.93 deg, I = 25.3
29.12 deg, I = 20.0
40.21 deg, I = 12.9
46.81 deg, I = 10.5
53.92 deg, I = 11.1
54.50 deg, I = 14.3

Structural model:
abc: 6.844 6.844 6.842
angles: 100.09 100.09 85.33
Sites, in units of the cell vectors:
1 Mg 0.182 0.818 0.000
2 Mg 0.203 0.203 0.366
3 Mg 0.797 0.797 0.634
4 Mg 0.818 0.182 0.000
5 Cr 0.256 0.744 0.500
6 Cr 0.274 0.274 0.912
7 Cr 0.726 0.726 0.088
8 Cr 0.744 0.256 0.500
9 O 0.112 0.799 0.684
10 O 0.142 0.142 0.040
11 O 0.201 0.888 0.316
12 O 0.212 0.212 0.668
13 O 0.216 0.511 0.977
14 O 0.221 0.512 0.397
15 O 0.488 0.779 0.603
16 O 0.489 0.784 0.023
17 O 0.511 0.216 0.977
18 O 0.512 0.221 0.397
19 O 0.779 0.488 0.603
20 O 0.784 0.489 0.023
21 O 0.788 0.788 0.332
22 O 0.799 0.112 0.684
23 O 0.858 0.858 0.960
24 O 0.888 0.201 0.316

***

Structure and computed powder X-ray diffraction pattern of MgCr4O10 (a crystal structure in the Materials Project, relaxed with PBE+U; Cu Kα (weighted mean of Kα1 and Kα2)).

The 10 most intense peaks (2θ from 5° to 70°), low angle first:
18.61 deg, I = 100.0
25.38 deg, I = 51.6
30.50 deg, I = 20.2
30.62 deg, I = 19.3
30.87 deg, I = 47.4
32.74 deg, I = 19.5
34.51 deg, I = 37.0
45.46 deg, I = 17.8
49.19 deg, I = 26.9
50.02 deg, I = 17.4

Structural model:
abc: 3.705 10.940 4.767
angles: 90.00 90.22 90.00
Sites, in units of the cell vectors:
1 Mg 0.000 0.000 0.000
2 Cr 0.005 0.346 0.234
3 Cr 0.005 0.654 0.234
4 Cr 0.505 0.154 0.444
5 Cr 0.505 0.846 0.444
6 O 0.005 0.175 0.342
7 O 0.005 0.349 0.902
8 O 0.005 0.651 0.902
9 O 0.005 0.825 0.342
10 O 0.006 0.500 0.371
11 O 0.504 0.000 0.263
12 O 0.506 0.322 0.337
13 O 0.506 0.678 0.337
14 O 0.510 0.120 0.795
15 O 0.510 0.880 0.795